Diffraction record for NaZrNbSi2SO12. The powder diffractogram is calculated, not measured: it uses a crystal structure in the Materials Project, relaxed with GGA-PBE and Cu Ka.

Cell and atoms:
Cell lengths 15.5585, 8.9902, 9.3223 Å; angles 90.00, 123.69, 90.00 degrees
Space group Cc (No. 9)
Symmetry-distinct sites (fractional):
Na1 0.0000 0.2419 0.0000 [4 per cell]
Zr1 0.3480 0.2650 0.0664 [4 per cell]
Nb1 0.1396 0.2494 0.4402 [4 per cell]
Si1 0.1040 0.1053 0.7568 [4 per cell]
Si2 0.2447 0.4591 0.2529 [4 per cell]
S1 0.3918 0.1064 0.7530 [4 per cell]
O1 0.0035 0.1830 0.7332 [4 per cell]
O2 0.1028 0.0783 0.2813 [4 per cell]
O3 0.1089 0.1379 0.5835 [4 per cell]
O4 0.1671 0.3561 0.2804 [4 per cell]
O5 0.1771 0.4279 0.5838 [4 per cell]
O6 0.2072 0.1713 0.9230 [4 per cell]
O7 0.3004 0.1752 0.5969 [4 per cell]
O8 0.3186 0.4394 0.9201 [4 per cell]
O9 0.3226 0.3503 0.2382 [4 per cell]
O10 0.3932 0.1314 0.9100 [4 per cell]
O11 0.3980 0.0537 0.2319 [4 per cell]
O12 0.4846 0.1796 0.7696 [4 per cell]

Largest 8 diffraction maxima, most intense first, 2θ from 10° to 90°:
19.76°, intensity 100.0
30.45°, intensity 80.2
22.87°, intensity 78.4
19.05°, intensity 77.2
27.58°, intensity 50.9
34.58°, intensity 36.5
13.69°, intensity 29.2
46.73°, intensity 28.0